This entry pairs a crystal structure of K4SnI6 with its theoretical powder diffractogram. Radiation: Cu Kα (weighted mean of Kα1 and Kα2). Structure: a structure optimized by DFT (GGA-PBE).

Structural model:
```
data_K4SnI6
_symmetry_space_group_name_H-M 'R -3 c'
_symmetry_Int_Tables_number 167
_symmetry_space_group_name_Hall '-R 3 2"c'
_cell_length_a 14.1223
_cell_length_b 14.1223
_cell_length_c 17.1101
_cell_angle_alpha 90.00
_cell_angle_beta 90.00
_cell_angle_gamma 120.00
loop_
_atom_site_label
_atom_site_fract_x
_atom_site_fract_y
_atom_site_fract_z
K1 0.0000 0.0000 0.2500
K2 0.0000 0.3885 0.2500
Sn1 0.0000 0.0000 0.0000
I1 0.0374 0.2002 0.3918
```

Principal peaks in the range 2θ = 5–70°, low angle first:
2θ (°), d [Å], I_rel, h k l
12.59, 7.032, 56.6, 0 1 2
19.90, 4.463, 34.1, 2 1 1
22.01, 4.038, 24.0, 1 0 4
26.79, 3.327, 71.8, 1 3 1
28.30, 3.153, 36.2, 3 1 2
28.43, 3.140, 92.6, 2 1 4
29.76, 3.002, 100.0, 2 2 3
33.58, 2.669, 29.8, 4 1 0
41.46, 2.178, 28.9, 5 1 1
56.93, 1.617, 20.8, 3 5 4